# Ce3RuAu2
Calculated X-ray diffraction stick pattern, Cu Kα (λ = 1.5418 Å). Input: a structure optimized by DFT (GGA-PBE).

The 8 most intense peaks (2θ from 5° to 70°), in order of rising 2θ:
hkl 2 0 2, 30.8°, I = 69
hkl 1 1 2, 31.4°, I = 27
hkl 4 0 -2, 32.2°, I = 100
hkl 0 2 1, 33.1°, I = 52
hkl 2 2 -1, 34.6°, I = 30
hkl 2 2 1, 36.7°, I = 75
hkl 6 0 0, 39.4°, I = 61
hkl 4 2 -1, 40.7°, I = 42

Structural model:
```
data_Ce3RuAu2
_cell_length_a 14.038
_cell_length_b 5.864
_cell_length_c 7.254
_cell_angle_alpha 90.00
_cell_angle_beta 102.41
_cell_angle_gamma 90.00
_space_group_name_H-M_alt 'C 1 2/c 1'
_space_group_IT_number 15
loop_
_space_group_symop_operation_xyz
'x,y,z'
'-x,-y,-z'
'-x,y,-z+1/2'
'x,-y,z+1/2'
'x+1/2,y+1/2,z'
'-x+1/2,-y+1/2,-z'
'-x+1/2,y+1/2,-z+1/2'
'x+1/2,-y+1/2,z+1/2'
loop_
_atom_site_label
_atom_site_fract_x
_atom_site_fract_y
_atom_site_fract_z
Ce1 0.000 0.151 0.250
Ce2 0.161 0.392 0.638
Ru1 0.000 0.360 0.750
Au1 0.162 0.109 0.010
```